Record 1
For La2PrNdP4, a cell relaxed with GGA-PBE gives the computed X-ray powder pattern in this record (λ = 1.5418 Å (Cu Kα)).
Lines closer than 0.1° are merged.

Most intense lines, 10 to 90 degrees two-theta, in order of rising 2θ:
- hkl 2 0 0, 2θ 25.8, I = 767
- hkl 1 1 1, 2θ 29.9, I = 1000
- hkl 2 0 2, 2θ 42.7, I = 737
- hkl 3 1 1, 2θ 50.6, I = 384
- hkl 4 0 0, 2θ 53.0, I = 259
- hkl 4 2 0, 2θ 70.4, I = 331

Cell and atoms:
Lattice parameters (Å, degrees): 7.3251 4.2326 7.3284 90.00 109.43 90.00
Space group P2/m (No. 10)
Inequivalent atoms, fractional coordinates:
La  0.0000  0.0000  0.0000 [1 per cell]
La  0.5000  0.5000  0.0000 [1 per cell]
Pr  0.0000  0.5000  0.5000 [1 per cell]
Nd  0.5000  0.0000  0.5000 [1 per cell]
P  0.2500  0.0000  0.7471 [2 per cell]
P  0.2521  0.5000  0.2536 [2 per cell]

Record 2
For SrLa2NdP4, a cell relaxed with GGA-PBE gives the computed X-ray powder pattern in this record (λ = 1.5418 Å (Cu Kα)).
Lines closer than 0.1° are merged.

Most intense lines, 10 to 90 degrees two-theta, in order of rising 2θ:
- hkl 0 0 2, 2θ 25.5, I = 521
- hkl 2 0 0, 2θ 25.6, I = 172
- hkl 1 1 1, 2θ 29.6, I = 1000
- hkl 1 1 -3, 2θ 42.2, I = 247
- hkl 0 2 0, 2θ 42.4, I = 489
- hkl 0 2 2, 2θ 50.1, I = 175

Cell and atoms:
Lattice parameters (Å, degrees): 7.3753 4.2703 7.4251 90.00 109.54 90.00
Space group P2/m (No. 10)
Inequivalent atoms, fractional coordinates:
Sr  0.0000  0.0000  0.0000 [1 per cell]
La  0.5000  0.0000  0.5000 [1 per cell]
La  0.5000  0.5000  0.0000 [1 per cell]
Nd  0.0000  0.5000  0.5000 [1 per cell]
P  0.2505  0.0000  0.7432 [2 per cell]
P  0.2573  0.5000  0.2607 [2 per cell]

Record 3
For La4NdPb3, a cell relaxed with GGA-PBE gives the computed X-ray powder pattern in this record (λ = 1.5418 Å (Cu Kα)).
Lines closer than 0.1° are merged.

Most intense lines, 10 to 90 degrees two-theta, in order of rising 2θ:
- hkl 3 2 1, 2θ 28.6, I = 486
- hkl 4 2 0, 2θ 31.0, I = 754
- hkl 2 0 2, 2θ 31.2, I = 642
- hkl 4 1 1, 2θ 31.8, I = 1000
- hkl 2 2 2, 2θ 34.2, I = 330
- hkl 6 4 2, 2θ 59.2, I = 343

Cell and atoms:
Lattice parameters (Å, degrees): 12.8903 12.8903 6.4079 90.00 90.00 90.00
Space group I4/mcm (No. 140)
Inequivalent atoms, fractional coordinates:
La  0.0851  0.2201  0.0000 [16 per cell]
Nd  0.0000  0.5000  0.2500 [4 per cell]
Pb  0.0000  0.0000  0.2500 [4 per cell]
Pb  0.1594  0.3406  0.5000 [8 per cell]

Record 4
For La5Nd4Pb4, a cell relaxed with GGA-PBE gives the computed X-ray powder pattern in this record (λ = 1.5418 Å (Cu Kα)).
Lines closer than 0.1° are merged.

Most intense lines, 10 to 90 degrees two-theta, in order of rising 2θ:
- hkl 3 2 1, 2θ 30.1, I = 1000
- hkl 4 1 1, 2θ 33.0, I = 177
- hkl 5 1 0, 2θ 33.9, I = 183
- hkl 0 0 2, 2θ 36.8, I = 200
- hkl 8 3 1, 2θ 61.7, I = 272
- hkl 3 2 3, 2θ 62.2, I = 128

Cell and atoms:
Lattice parameters (Å, degrees): 13.4866 13.4866 4.8867 90.00 90.00 90.00
Space group I4/m (No. 87)
Inequivalent atoms, fractional coordinates:
La  0.0000  0.0000  0.0000 [2 per cell]
La  0.1122  0.2048  0.5000 [8 per cell]
Nd  0.0933  0.4010  0.0000 [8 per cell]
Pb  0.0861  0.7678  0.0000 [8 per cell]

Record 5
For La2NdPb3, a cell relaxed with GGA-PBE gives the computed X-ray powder pattern in this record (λ = 1.5418 Å (Cu Kα)).
Lines closer than 0.1° are merged.

Most intense lines, 10 to 90 degrees two-theta, in order of rising 2θ:
- hkl 2 0 0, 2θ 29.7, I = 665
- hkl 1 3 2, 2θ 33.1, I = 1000
- hkl 2 6 0, 2θ 42.6, I = 255
- hkl 3 3 2, 2θ 55.0, I = 481
- hkl 2 0 4, 2θ 61.2, I = 171
- hkl 4 6 0, 2θ 70.0, I = 118

Cell and atoms:
Lattice parameters (Å, degrees): 6.0026 18.0353 7.0097 90.00 90.00 90.00
Space group Cmmm (No. 65)
Inequivalent atoms, fractional coordinates:
La  0.0000  0.0000  0.0000 [2 per cell]
La  0.0000  0.0000  0.5000 [2 per cell]
La  0.0000  0.3345  0.0000 [4 per cell]
Nd  0.0000  0.3330  0.5000 [4 per cell]
Pb  0.0000  0.1678  0.2583 [8 per cell]
Pb  0.0000  0.5000  0.2581 [4 per cell]

Record 6
For La12Nd7Pb, a cell relaxed with GGA-PBE gives the computed X-ray powder pattern in this record (λ = 1.5418 Å (Cu Kα)).
Lines closer than 0.1° are merged.

Most intense lines, 10 to 90 degrees two-theta, in order of rising 2θ:
- hkl 0 2 -2, 2θ 30.3, I = 404
- hkl 2 0 -1, 2θ 30.4, I = 1000
- hkl 2 1 3, 2θ 31.0, I = 762
- hkl 1 3 1, 2θ 31.1, I = 378
- hkl 0 1 4, 2θ 31.2, I = 604
- hkl -1 3 2, 2θ 31.9, I = 354

Cell and atoms:
Lattice parameters (Å, degrees): 6.8798 9.7297 11.8953 68.80 75.28 89.96
Space group P-1 (No. 2)
Inequivalent atoms, fractional coordinates:
La  0.0518  0.0089  0.1290 [2 per cell]
La  0.2392  0.8281  0.4036 [2 per cell]
La  0.2446  0.4331  0.5179 [2 per cell]
La  0.2834  0.0516  0.5853 [2 per cell]
La  0.3348  0.2709  0.8486 [2 per cell]
La  0.4253  0.8826  0.9029 [2 per cell]
Nd  0.0000  0.5000  0.0000 [1 per cell]
Nd  0.1435  0.6061  0.2178 [2 per cell]
Nd  0.1491  0.2342  0.2818 [2 per cell]
Nd  0.3576  0.6524  0.7049 [2 per cell]
Pb  0.5000  0.5000  0.0000 [1 per cell]